Simulated powder XRD pattern
Compound: Y2Hg3Pb2
Radiation: a wavelength of 1.5418 Å
Structure: a crystal structure in Alexandria, relaxed with PBE
No peak broadening, texture or thermal motion is included.

Peak list (6 most intense, 15 to 90 degrees two-theta, in order of falling intensity)
2θ/deg, Rel. int.
30.6, 100
36.4, 77
33.6, 51
50.3, 42
67.2, 28
39.0, 23

Structure:
```
Y2Hg3Pb2
1.0
-4.6215 4.6215 4.6215
4.6215 -4.6215 4.6215
4.6215 4.6215 -4.6215
Y Hg Pb
4 6 4
direct
0.0000 0.0392 0.5000
0.0392 0.5000 0.0000
0.4608 0.4608 0.4608
0.5000 0.0000 0.0392
0.2243 0.9743 0.2500
0.2500 0.2243 0.9743
0.2757 0.5257 0.7500
0.5257 0.7500 0.2757
0.7500 0.2757 0.5257
0.9743 0.2500 0.2243
0.0000 0.6419 0.5000
0.5000 0.0000 0.6419
0.6419 0.5000 0.0000
0.8581 0.8581 0.8581
```